The following is a theoretical PXRD pattern of LaCuPd. It was derived from DFT lattice parameters and positions (GGA-PBE), using copper Kα.
No peak broadening, texture or thermal motion is included.

Cell and atoms:
```
data_LaCuPd
_chemical_formula_sum 'La3 Cu3 Pd3'
_symmetry_space_group_name_H-M 'P -6 2 m'
_symmetry_Int_Tables_number 189
_symmetry_space_group_name_Hall 'P -6 -2'
_cell_length_a 7.4185
_cell_length_b 7.4185
_cell_length_c 4.0304
_cell_angle_alpha 90.00
_cell_angle_beta 90.00
_cell_angle_gamma 120.00
loop_
_atom_site_label
_atom_site_type_symbol
_atom_site_fract_x
_atom_site_fract_y
_atom_site_fract_z
La1 La 0.0000 0.6000 0.0000
Cu1 Cu 0.0000 0.2439 0.5000
Pd1 Pd 0.0000 0.0000 0.0000
Pd2 Pd 0.3333 0.6667 0.5000
```

Most intense lines, 15 to 90 degrees two-theta, by intensity:
- hkl 1 1 1, 2θ 32.81, d 2.729, intensity 100
- hkl 2 0 1, 2θ 35.74, d 2.512, intensity 89
- hkl 3 0 0, 2θ 42.20, d 2.142, intensity 39
- hkl 2 1 0, 2θ 37.02, d 2.428, intensity 36
- hkl 2 1 1, 2θ 43.51, d 2.080, intensity 28
- hkl 3 2 1, 2θ 67.69, d 1.384, intensity 28
- hkl 0 0 2, 2θ 44.98, d 2.015, intensity 27
- hkl 3 0 2, 2θ 63.38, d 1.468, intensity 23
- hkl 2 1 2, 2θ 59.62, d 1.551, intensity 17
- hkl 3 1 1, 2θ 56.46, d 1.630, intensity 17